Simulated powder XRD pattern
Compound: SiC
Radiation: copper Kα
Structure: a DFT-relaxed cell (GGA-PBE, the Materials Project)

Principal peaks in the range 15 to 90 degrees two-theta, in order of rising 2θ:
2theta  d [Å]  Rel. int.
33.86  2.648  24
35.49  2.529  100
37.67  2.388  30
38.31  2.349  25
59.75  1.548  65
71.46  1.320  50

Structural model:
```
SiC
1.0
3.095 0.000 0.000
-1.547 2.680 0.000
0.000 0.000 68.332
Si C
27 27
direct
0.000 0.000 0.000 Si
0.000 0.000 0.074 Si
0.000 0.000 0.148 Si
0.000 0.000 0.296 Si
0.000 0.000 0.407 Si
0.000 0.000 0.519 Si
0.000 0.000 0.630 Si
0.000 0.000 0.741 Si
0.000 0.000 0.852 Si
0.333 0.667 0.111 Si
0.333 0.667 0.222 Si
0.333 0.667 0.370 Si
0.333 0.667 0.444 Si
0.333 0.667 0.593 Si
0.333 0.667 0.667 Si
0.333 0.667 0.815 Si
0.333 0.667 0.889 Si
0.333 0.667 0.963 Si
0.667 0.333 0.037 Si
0.667 0.333 0.185 Si
0.667 0.333 0.259 Si
0.667 0.333 0.333 Si
0.667 0.333 0.481 Si
0.667 0.333 0.556 Si
0.667 0.333 0.704 Si
0.667 0.333 0.778 Si
0.667 0.333 0.926 Si
0.000 0.000 0.028 C
0.000 0.000 0.102 C
0.000 0.000 0.176 C
0.000 0.000 0.324 C
0.000 0.000 0.435 C
0.000 0.000 0.546 C
0.000 0.000 0.658 C
0.000 0.000 0.769 C
0.000 0.000 0.880 C
0.333 0.667 0.139 C
0.333 0.667 0.250 C
0.333 0.667 0.398 C
0.333 0.667 0.472 C
0.333 0.667 0.620 C
0.333 0.667 0.694 C
0.333 0.667 0.843 C
0.333 0.667 0.917 C
0.333 0.667 0.991 C
0.667 0.333 0.065 C
0.667 0.333 0.213 C
0.667 0.333 0.287 C
0.667 0.333 0.361 C
0.667 0.333 0.509 C
0.667 0.333 0.583 C
0.667 0.333 0.731 C
0.667 0.333 0.806 C
0.667 0.333 0.954 C
```

Simulated powder XRD pattern
Compound: CaTlBr3
Radiation: copper Kα
Structure: a DFT-relaxed cell (GGA-PBE, the Materials Project)

Principal peaks in the range 15 to 90 degrees two-theta, in order of rising 2θ:
2theta  d [Å]  Rel. int.
20.35  4.365  39
22.97  3.872  27
28.89  3.091  100
29.55  3.022  34
32.76  2.734  77
50.46  1.809  32

Structural model:
```
CaTlBr3
1.0
2.160 -7.256 0.000
2.160 7.256 0.000
0.000 0.000 10.927
Ca Tl Br
2 2 6
direct
0.000 0.000 0.000 Ca
0.000 0.000 0.500 Ca
0.254 0.746 0.750 Tl
0.746 0.254 0.250 Tl
0.072 0.928 0.250 Br
0.369 0.631 0.052 Br
0.369 0.631 0.448 Br
0.631 0.369 0.552 Br
0.631 0.369 0.948 Br
0.928 0.072 0.750 Br
```

Simulated powder XRD pattern
Compound: InAg3C6N6
Radiation: copper Kα
Structure: a DFT-relaxed cell (GGA-PBE, the Materials Project)

Principal peaks in the range 15 to 90 degrees two-theta, in order of rising 2θ:
2theta  d [Å]  Rel. int.
17.52  5.061  100
25.64  3.474  44
26.39  3.378  63
28.90  3.090  28
35.47  2.531  60
37.12  2.422  25

Structural model:
```
InAg3C6N6
1.0
7.801 0.000 0.000
-3.900 6.756 0.000
0.000 0.000 7.642
In Ag C N
1 3 6 6
direct
0.000 0.000 0.000 In
0.000 0.500 0.500 Ag
0.500 0.000 0.500 Ag
0.500 0.500 0.500 Ag
0.000 0.245 0.826 C
0.000 0.755 0.174 C
0.245 0.000 0.826 C
0.245 0.245 0.174 C
0.755 0.000 0.174 C
0.755 0.755 0.826 C
0.000 0.354 0.721 N
0.000 0.646 0.279 N
0.354 0.000 0.721 N
0.354 0.354 0.279 N
0.646 0.000 0.279 N
0.646 0.646 0.721 N
```

Simulated powder XRD pattern
Compound: LiBH7N
Radiation: copper Kα
Structure: a DFT-relaxed cell (GGA-PBE, the Materials Project)

Principal peaks in the range 15 to 90 degrees two-theta, in order of rising 2θ:
2theta  d [Å]  Rel. int.
20.59  4.313  26
23.44  3.796  28
24.21  3.676  60
25.44  3.502  47
27.55  3.237  100
30.42  2.939  18

Structural model:
```
LiBH7N
1.0
5.998 0.000 0.000
0.000 4.511 0.000
0.000 0.000 14.706
Li B H N
4 4 28 4
direct
0.120 0.250 0.073 Li
0.380 0.750 0.573 Li
0.620 0.250 0.427 Li
0.880 0.750 0.927 Li
0.081 0.250 0.903 B
0.419 0.750 0.403 B
0.581 0.250 0.597 B
0.919 0.750 0.097 B
0.020 0.071 0.370 H
0.020 0.429 0.370 H
0.073 0.031 0.854 H
0.073 0.469 0.854 H
0.080 0.750 0.045 H
0.106 0.750 0.712 H
0.243 0.750 0.446 H
0.257 0.250 0.946 H
0.394 0.250 0.212 H
0.420 0.250 0.545 H
0.427 0.531 0.354 H
0.427 0.969 0.354 H
0.480 0.571 0.870 H
0.480 0.929 0.870 H
0.520 0.071 0.130 H
0.520 0.429 0.130 H
0.573 0.031 0.646 H
0.573 0.469 0.646 H
0.580 0.750 0.455 H
0.606 0.750 0.788 H
0.743 0.750 0.054 H
0.757 0.250 0.554 H
0.894 0.250 0.288 H
0.920 0.250 0.955 H
0.927 0.531 0.146 H
0.927 0.969 0.146 H
0.980 0.571 0.630 H
0.980 0.929 0.630 H
0.080 0.750 0.643 N
0.420 0.250 0.143 N
0.580 0.750 0.857 N
0.920 0.250 0.357 N
```

Simulated powder XRD pattern
Compound: CeU2O6
Radiation: copper Kα
Structure: a DFT-relaxed cell (GGA-PBE, the Materials Project)

Principal peaks in the range 15 to 90 degrees two-theta, in order of rising 2θ:
2theta  d [Å]  Rel. int.
28.40  3.143  100
28.51  3.130  32
32.94  2.719  47
47.21  1.925  33
47.35  1.920  33
56.06  1.641  46

Structural model:
```
CeU2O6
1.0
3.851 0.000 0.000
-1.925 3.335 0.000
0.000 0.000 9.391
Ce U O
1 2 6
direct
0.000 0.000 0.000 Ce
0.333 0.667 0.666 U
0.667 0.333 0.334 U
0.000 0.000 0.263 O
0.000 0.000 0.737 O
0.333 0.667 0.418 O
0.333 0.667 0.905 O
0.667 0.333 0.095 O
0.667 0.333 0.582 O
```

Simulated powder XRD pattern
Compound: MgMn2S4
Radiation: copper Kα
Structure: a DFT-relaxed cell (GGA-PBE, the Materials Project)

Principal peaks in the range 15 to 90 degrees two-theta, in order of rising 2θ:
2theta  d [Å]  Rel. int.
19.57  4.536  100
20.57  4.318  84
33.40  2.682  76
41.63  2.169  74
42.65  2.120  80
50.15  1.819  84

Structural model:
```
MgMn2S4
1.0
6.091 0.000 0.000
0.000 3.423 0.000
-0.318 0.000 6.442
Mg Mn S
1 2 4
direct
0.000 0.000 0.000 Mg
0.030 0.500 0.492 Mn
0.506 0.000 0.020 Mn
0.212 0.000 0.679 S
0.292 0.500 0.173 S
0.703 0.500 0.856 S
0.814 0.000 0.339 S
```

Simulated powder XRD pattern
Compound: TaCoSn2
Radiation: copper Kα
Structure: a DFT-relaxed cell (GGA-PBE, the Materials Project)

Principal peaks in the range 15 to 90 degrees two-theta, in order of rising 2θ:
2theta  d [Å]  Rel. int.
22.91  3.882  7
26.51  3.362  7
37.84  2.377  100
54.59  1.681  17
68.34  1.373  36
80.87  1.189  12

Structural model:
```
TaCoSn2
1.0
0.000 3.362 3.362
3.362 0.000 3.362
3.362 3.362 0.000
Ta Co Sn
1 1 2
direct
0.000 0.000 0.000 Ta
0.250 0.250 0.250 Co
0.500 0.500 0.500 Sn
0.750 0.750 0.750 Sn
```

Simulated powder XRD pattern
Compound: K3BiAs6Se12
Radiation: copper Kα
Structure: a DFT-relaxed cell (GGA-PBE, the Materials Project)

Principal peaks in the range 15 to 90 degrees two-theta, in order of rising 2θ:
2theta  d [Å]  Rel. int.
15.19  5.832  42
28.79  3.101  41
29.79  2.999  100
35.75  2.512  28
44.12  2.053  21
48.72  1.869  32

Structural model:
```
K3BiAs6Se12
1.0
9.891 0.000 0.000
-4.945 8.566 0.000
0.000 0.000 7.962
K Bi As Se
3 1 6 12
direct
0.000 0.000 0.000 K
0.333 0.667 0.835 K
0.667 0.333 0.165 K
0.000 0.000 0.500 Bi
0.157 0.454 0.369 As
0.297 0.843 0.369 As
0.454 0.297 0.631 As
0.546 0.703 0.369 As
0.703 0.157 0.631 As
0.843 0.546 0.631 As
0.063 0.787 0.714 Se
0.094 0.627 0.200 Se
0.213 0.276 0.714 Se
0.276 0.063 0.286 Se
0.373 0.468 0.200 Se
0.468 0.094 0.800 Se
0.532 0.906 0.200 Se
0.627 0.532 0.800 Se
0.724 0.937 0.714 Se
0.787 0.724 0.286 Se
0.906 0.373 0.800 Se
0.937 0.213 0.286 Se
```